(1)
Structure and computed powder diffractogram of Hf4B3As (a cell relaxed with PBE; Cu Kα (weighted mean of Kα1 and Kα2)).
No peak broadening, texture or thermal motion is included.

The 12 most intense peaks (10° ≤ 2θ ≤ 90°), low angle first:
| Position (°2θ) | d_spacing | intensity | index |
| --- | --- | --- | --- |
| 29.65 | 3.013 | 28 | 0 0 8 |
| 30.19 | 2.961 | 20 | 1 0 1 |
| 30.88 | 2.896 | 51 | 1 0 2 |
| 32.00 | 2.797 | 23 | 1 0 3 |
| 33.52 | 2.674 | 18 | 1 0 4 |
| 35.38 | 2.537 | 63 | 1 0 5 |
| 37.55 | 2.395 | 100 | 1 0 6 |
| 51.76 | 1.766 | 16 | 1 0 11 |
| 53.18 | 1.722 | 48 | 1 1 0 |
| 55.12 | 1.666 | 17 | 1 0 12 |
| 62.07 | 1.495 | 22 | 1 1 8 |
| 66.91 | 1.398 | 18 | 2 0 6 |

Structure:
a = 3.4448 Å, b = 3.4448 Å, c = 24.1064 Å
α = 90.00°, β = 90.00°, γ = 120.00°
Space group P6_3/mmc (No. 194)
One atom of each set of equivalent atoms:
1 Hf 0.0000 0.0000 0.1708 x4
2 Hf 0.3333 0.6667 0.0586 x4
3 B 0.0000 0.0000 0.0000 x2
4 B 0.3333 0.6667 0.6179 x4
5 As 0.3333 0.6667 0.2500 x2

---

(2)
Structure and computed powder diffractogram of NaTa3O8 (a cell relaxed with PBE; Cu Kα (weighted mean of Kα1 and Kα2)).
No peak broadening, texture or thermal motion is included.

The 12 most intense peaks (10° ≤ 2θ ≤ 90°), low angle first:
| Position (°2θ) | d_spacing | intensity | index |
| --- | --- | --- | --- |
| 14.89 | 5.949 | 57 | 1 1 0 |
| 16.97 | 5.226 | 17 | 0 2 0 |
| 29.58 | 3.020 | 17 | 1 1 2 |
| 30.04 | 2.975 | 100 | 2 2 0 |
| 30.72 | 2.911 | 92 | 0 2 2 |
| 34.32 | 2.613 | 25 | 0 4 0 |
| 35.67 | 2.517 | 49 | 2 0 2 |
| 50.33 | 1.813 | 54 | 2 4 2 |
| 52.20 | 1.752 | 16 | 0 0 4 |
| 59.23 | 1.560 | 14 | 0 6 2 |
| 60.24 | 1.536 | 31 | 4 2 2 |
| 61.41 | 1.510 | 26 | 2 2 4 |

Structure:
a = 7.2353 Å, b = 10.4522 Å, c = 7.0095 Å
α = 90.00°, β = 90.00°, γ = 90.00°
Space group Ibam (No. 72)
One atom of each set of equivalent atoms:
1 Na 0.0000 0.0000 0.2500 x4
2 Ta 0.0000 0.5000 0.2500 x4
3 Ta 0.2374 0.2641 0.0000 x8
4 O 0.0093 0.1720 0.5000 x8
5 O 0.1190 0.4331 0.0000 x8
6 O 0.1941 0.3571 0.2947 x16

---

(3)
Structure and computed powder diffractogram of Al2ZnFeCu4 (a cell relaxed with PBE; Cu Kα (weighted mean of Kα1 and Kα2)).
No peak broadening, texture or thermal motion is included.

The 9 most intense peaks (10° ≤ 2θ ≤ 90°), low angle first:
| Position (°2θ) | d_spacing | intensity | index |
| --- | --- | --- | --- |
| 26.46 | 3.369 | 7 | 1 1 2 |
| 30.65 | 2.917 | 6 | 0 0 4 |
| 43.89 | 2.063 | 100 | 2 2 0 |
| 51.98 | 1.759 | 3 | 1 1 6 |
| 54.48 | 1.684 | 1 | 2 2 4 |
| 63.81 | 1.459 | 15 | 4 0 0 |
| 70.33 | 1.339 | 1 | 3 1 6 |
| 72.44 | 1.305 | 2 | 2 0 8 |
| 80.68 | 1.191 | 29 | 4 2 4 |

Structure:
a = 5.8323 Å, b = 5.8323 Å, c = 11.6781 Å
α = 90.00°, β = 90.00°, γ = 90.00°
Space group I4_1/amd (No. 141, origin choice 2)
One atom of each set of equivalent atoms:
1 Al 0.0000 0.2500 0.1194 x8
2 Zn 0.0000 0.2500 0.3750 x4
3 Fe 0.0000 0.2500 0.8750 x4
4 Cu 0.2482 0.0000 0.5000 x16